# Ce3Ag3PdSe8
Theoretical X-ray powder pattern, λ = 1.5418 Å (Cu Kα). Input: the GGA-PBE geometry in Alexandria.
Peak positions follow from Bragg's law for the DFT cell and can differ from measured ones.

Atomic structure:
```
data_Ce3Ag3PdSe8
_cell_length_a 8.0159
_cell_length_b 8.0159
_cell_length_c 8.0279
_cell_angle_alpha 117.39
_cell_angle_beta 117.39
_cell_angle_gamma 62.68
_space_group_name_H-M_alt 'P 1'
_space_group_IT_number 1
loop_
_space_group_symop_operation_xyz
'x,y,z'
loop_
_atom_site_label
_atom_site_fract_x
_atom_site_fract_y
_atom_site_fract_z
Ce1 0.0000 0.0000 0.0000
Ce2 0.0000 0.5000 0.5000
Ce3 0.5000 0.0000 0.5000
Ag1 0.0000 0.5000 0.0000
Ag2 0.5000 0.0000 0.0000
Ag3 0.5000 0.5000 0.5000
Pd1 0.5000 0.5000 0.0000
Se1 0.2505 0.2505 0.2503
Se2 0.2667 0.7297 0.2331
Se3 0.2696 0.2696 0.7735
Se4 0.2703 0.7333 0.7669
Se5 0.7297 0.2667 0.2331
Se6 0.7304 0.7304 0.2265
Se7 0.7333 0.2703 0.7669
Se8 0.7495 0.7495 0.7497
```

Top 10 peaks for 2θ = 10–80°, low angle first:
2θ/deg, Rel. int.
13.10, 7
13.80, 6
30.97, 100
43.42, 38
45.30, 34
54.28, 19
64.51, 7
71.93, 15
74.64, 10
79.68, 6